Computed powder diffraction line list
Compound: Tb5Nd3Y2
Radiation: copper Kα
Structure: a DFT-relaxed cell (GGA-PBE, Alexandria)
Neutral-atom scattering factors, no anomalous dispersion.

Most intense lines, 2θ = 15–90°, in order of rising 2θ:
2θ = 30.1°, rel. 30, hkl 2 2 1; 2θ = 30.2°, rel. 100, hkl 2 4 -2; 2θ = 33.2°, rel. 30, hkl 4 0 -2; 2θ = 38.0°, rel. 14, hkl 2 0 -4; 2θ = 48.8°, rel. 12, hkl 0 6 3; 2θ = 57.5°, rel. 14, hkl 4 0 2

Structural model:
```
data_Tb5Nd3Y2
_symmetry_space_group_name_H-M 'C 1 2/c 1'
_symmetry_Int_Tables_number 15
_symmetry_space_group_name_Hall '-C 2yc'
_cell_length_a 10.807
_cell_length_b 15.777
_cell_length_c 9.571
_cell_angle_alpha 90.00
_cell_angle_beta 124.03
_cell_angle_gamma 90.00
loop_
_atom_site_label
_atom_site_type_symbol
_atom_site_fract_x
_atom_site_fract_y
_atom_site_fract_z
Tb1 Tb 0.000 0.024 0.250
Tb2 Tb 0.000 0.271 0.750
Tb3 Tb 0.000 0.470 0.750
Tb4 Tb 0.236 0.384 0.224
Nd1 Nd 0.000 0.232 0.250
Nd2 Nd 0.144 0.125 0.048
Y1 Y 0.154 0.381 0.546
```

Computed powder diffraction line list
Compound: TbNd2Zn3
Radiation: copper Kα
Structure: a DFT-relaxed cell (GGA-PBE, Alexandria)
Neutral-atom scattering factors, no anomalous dispersion.

Most intense lines, 2θ = 15–90°, in order of rising 2θ:
2θ = 24.4°, rel. 15, hkl 1 0 1; 2θ = 34.8°, rel. 100, hkl 1 1 0; 2θ = 50.0°, rel. 18, hkl 2 0 2; 2θ = 62.3°, rel. 27, hkl 1 2 2; 2θ = 73.4°, rel. 11, hkl 2 2 0; 2θ = 83.8°, rel. 15, hkl 3 1 2

Structural model:
```
data_TbNd2Zn3
_symmetry_space_group_name_H-M 'P -3 m 1'
_symmetry_Int_Tables_number 164
_symmetry_space_group_name_Hall '-P 3 2"'
_cell_length_a 5.1590
_cell_length_b 5.1590
_cell_length_c 6.3292
_cell_angle_alpha 90.00
_cell_angle_beta 90.00
_cell_angle_gamma 120.00
loop_
_atom_site_label
_atom_site_type_symbol
_atom_site_fract_x
_atom_site_fract_y
_atom_site_fract_z
Tb1 Tb 0.0000 0.0000 0.0000
Nd1 Nd 0.3333 0.6667 0.6730
Zn1 Zn 0.0000 0.0000 0.5000
Zn2 Zn 0.3333 0.6667 0.1645
```

Computed powder diffraction line list
Compound: Tb2Nd6Zn
Radiation: copper Kα
Structure: a DFT-relaxed cell (GGA-PBE, Alexandria)
Neutral-atom scattering factors, no anomalous dispersion.

Most intense lines, 2θ = 15–90°, in order of rising 2θ:
2θ = 30.7°, rel. 100, hkl 3 0 1; 2θ = 31.2°, rel. 30, hkl 2 3 0; 2θ = 31.9°, rel. 66, hkl 1 3 1; 2θ = 32.7°, rel. 39, hkl 0 0 2; 2θ = 45.8°, rel. 21, hkl 2 3 2; 2θ = 57.1°, rel. 17, hkl 3 0 3

Structural model:
```
data_Tb2Nd6Zn
_symmetry_space_group_name_H-M 'P n n m'
_symmetry_Int_Tables_number 58
_symmetry_space_group_name_Hall '-P 2 2n'
_cell_length_a 10.305
_cell_length_b 10.349
_cell_length_c 5.480
_cell_angle_alpha 90.00
_cell_angle_beta 90.00
_cell_angle_gamma 90.00
loop_
_atom_site_label
_atom_site_type_symbol
_atom_site_fract_x
_atom_site_fract_y
_atom_site_fract_z
Tb1 Tb 0.213 0.220 0.000
Nd1 Nd 0.038 0.312 0.500
Nd2 Nd 0.124 0.880 0.000
Nd3 Nd 0.188 0.545 0.000
Zn1 Zn 0.000 0.000 0.500
```

Computed powder diffraction line list
Compound: Tb3Nd4Zn4
Radiation: copper Kα
Structure: a DFT-relaxed cell (GGA-PBE, Alexandria)
Neutral-atom scattering factors, no anomalous dispersion.

Most intense lines, 2θ = 15–90°, in order of rising 2θ:
2θ = 29.4°, rel. 100, hkl 1 2 1; 2θ = 30.3°, rel. 28, hkl 0 1 5; 2θ = 31.4°, rel. 99, hkl 1 1 4; 2θ = 33.6°, rel. 33, hkl 1 2 3; 2θ = 37.2°, rel. 40, hkl 0 3 3; 2θ = 38.0°, rel. 45, hkl 2 0 0

Structural model:
```
data_Tb3Nd4Zn4
_symmetry_space_group_name_H-M 'I m m m'
_symmetry_Int_Tables_number 71
_symmetry_space_group_name_Hall '-I 2 2'
_cell_length_a 4.736
_cell_length_b 8.169
_cell_length_c 15.822
_cell_angle_alpha 90.00
_cell_angle_beta 90.00
_cell_angle_gamma 90.00
loop_
_atom_site_label
_atom_site_type_symbol
_atom_site_fract_x
_atom_site_fract_y
_atom_site_fract_z
Tb1 Tb 0.000 0.000 0.000
Tb2 Tb 0.000 0.500 0.112
Nd1 Nd 0.000 0.301 0.336
Zn1 Zn 0.000 0.000 0.225
Zn2 Zn 0.000 0.153 0.500
```

Computed powder diffraction line list
Compound: Tb3Nd2Zn2
Radiation: copper Kα
Structure: a DFT-relaxed cell (GGA-PBE, Alexandria)
Neutral-atom scattering factors, no anomalous dispersion.

Most intense lines, 2θ = 15–90°, in order of rising 2θ:
2θ = 29.3°, rel. 22, hkl 0 10 0; 2θ = 30.6°, rel. 34, hkl 0 6 1; 2θ = 32.0°, rel. 100, hkl 1 7 0; 2θ = 34.4°, rel. 59, hkl 0 8 1; 2θ = 35.3°, rel. 91, hkl 1 1 1; 2θ = 61.6°, rel. 30, hkl 1 7 2

Structural model:
```
data_Tb3Nd2Zn2
_symmetry_space_group_name_H-M 'C m m m'
_symmetry_Int_Tables_number 65
_symmetry_space_group_name_Hall '-C 2 2'
_cell_length_a 3.654
_cell_length_b 30.487
_cell_length_c 3.573
_cell_angle_alpha 90.00
_cell_angle_beta 90.00
_cell_angle_gamma 90.00
loop_
_atom_site_label
_atom_site_type_symbol
_atom_site_fract_x
_atom_site_fract_y
_atom_site_fract_z
Tb1 Tb 0.000 0.000 0.000
Tb2 Tb 0.000 0.418 0.500
Nd1 Nd 0.000 0.301 0.500
Zn1 Zn 0.000 0.138 0.000
```

Computed powder diffraction line list
Compound: Tb3NdZn8
Radiation: copper Kα
Structure: a DFT-relaxed cell (GGA-PBE, Alexandria)
Neutral-atom scattering factors, no anomalous dispersion.

Most intense lines, 2θ = 15–90°, in order of rising 2θ:
2θ = 32.0°, rel. 54, hkl 1 1 0; 2θ = 36.2°, rel. 70, hkl 0 1 3; 2θ = 38.3°, rel. 100, hkl 1 1 2; 2θ = 38.6°, rel. 52, hkl 0 2 1; 2θ = 59.7°, rel. 32, hkl 1 2 3; 2θ = 66.2°, rel. 27, hkl 0 2 5

Structural model:
```
data_Tb3NdZn8
_symmetry_space_group_name_H-M 'P 3 m 1'
_symmetry_Int_Tables_number 156
_symmetry_space_group_name_Hall 'P 3 -2"'
_cell_length_a 5.5993
_cell_length_b 5.5993
_cell_length_c 8.6734
_cell_angle_alpha 90.00
_cell_angle_beta 90.00
_cell_angle_gamma 120.00
loop_
_atom_site_label
_atom_site_type_symbol
_atom_site_fract_x
_atom_site_fract_y
_atom_site_fract_z
Tb1 Tb 0.0000 0.0000 0.0000
Tb2 Tb 0.0000 0.0000 0.3874
Tb3 Tb 0.3333 0.6667 0.8857
Nd1 Nd 0.3333 0.6667 0.4952
Zn1 Zn 0.3311 0.1656 0.6942
Zn2 Zn 0.5008 0.0016 0.1882
Zn3 Zn 0.6667 0.3333 0.4431
Zn4 Zn 0.6667 0.3333 0.9403
```

Computed powder diffraction line list
Compound: TbNd2Zn
Radiation: copper Kα
Structure: a DFT-relaxed cell (GGA-PBE, Alexandria)
Neutral-atom scattering factors, no anomalous dispersion.

Most intense lines, 2θ = 15–90°, in order of rising 2θ:
2θ = 26.5°, rel. 18, hkl 1 1 2; 2θ = 31.9°, rel. 100, hkl 1 1 4; 2θ = 34.8°, rel. 48, hkl 2 0 0; 2θ = 47.0°, rel. 14, hkl 2 0 6; 2θ = 50.0°, rel. 17, hkl 2 2 0; 2θ = 60.5°, rel. 32, hkl 3 1 4

Structural model:
```
data_TbNd2Zn
_symmetry_space_group_name_H-M 'I 4/m m m'
_symmetry_Int_Tables_number 139
_symmetry_space_group_name_Hall '-I 4 2'
_cell_length_a 5.162
_cell_length_b 5.162
_cell_length_c 17.529
_cell_angle_alpha 90.00
_cell_angle_beta 90.00
_cell_angle_gamma 90.00
loop_
_atom_site_label
_atom_site_type_symbol
_atom_site_fract_x
_atom_site_fract_y
_atom_site_fract_z
Tb1 Tb 0.000 0.000 0.150
Nd1 Nd 0.000 0.000 0.355
Nd2 Nd 0.000 0.500 0.000
Zn1 Zn 0.000 0.500 0.250
```

Computed powder diffraction line list
Compound: Tb14NdZr
Radiation: copper Kα
Structure: a DFT-relaxed cell (GGA-PBE, Alexandria)
Neutral-atom scattering factors, no anomalous dispersion.

Most intense lines, 2θ = 15–90°, in order of rising 2θ:
2θ = 30.9°, rel. 100, hkl 2 0 2; 2θ = 35.8°, rel. 34, hkl 2 2 0; 2θ = 36.0°, rel. 17, hkl 0 0 4; 2θ = 51.7°, rel. 24, hkl 2 2 4; 2θ = 61.3°, rel. 28, hkl 4 2 2; 2θ = 61.5°, rel. 14, hkl 2 0 6

Structural model:
```
data_Tb14NdZr
_symmetry_space_group_name_H-M 'P 4/m m m'
_symmetry_Int_Tables_number 123
_symmetry_space_group_name_Hall '-P 4 2'
_cell_length_a 7.091
_cell_length_b 7.091
_cell_length_c 9.987
_cell_angle_alpha 90.00
_cell_angle_beta 90.00
_cell_angle_gamma 90.00
loop_
_atom_site_label
_atom_site_type_symbol
_atom_site_fract_x
_atom_site_fract_y
_atom_site_fract_z
Tb1 Tb 0.000 0.000 0.000
Tb2 Tb 0.000 0.500 0.000
Tb3 Tb 0.000 0.500 0.500
Tb4 Tb 0.244 0.244 0.255
Tb5 Tb 0.500 0.500 0.000
Nd1 Nd 0.500 0.500 0.500
Zr1 Zr 0.000 0.000 0.500
```

Computed powder diffraction line list
Compound: Nd4Tc
Radiation: copper Kα
Structure: a DFT-relaxed cell (GGA-PBE, Alexandria)
Neutral-atom scattering factors, no anomalous dispersion.

Most intense lines, 2θ = 15–90°, in order of rising 2θ:
2θ = 27.9°, rel. 96, hkl 1 1 1; 2θ = 32.3°, rel. 100, hkl 2 0 0; 2θ = 46.4°, rel. 73, hkl 2 2 0; 2θ = 55.0°, rel. 44, hkl 3 1 1; 2θ = 57.6°, rel. 25, hkl 2 2 2; 2θ = 77.0°, rel. 32, hkl 4 2 0

Structural model:
```
data_Nd4Tc
_symmetry_space_group_name_H-M 'P m -3 m'
_symmetry_Int_Tables_number 221
_symmetry_space_group_name_Hall '-P 4 2 3'
_cell_length_a 5.539
_cell_length_b 5.539
_cell_length_c 5.539
_cell_angle_alpha 90.00
_cell_angle_beta 90.00
_cell_angle_gamma 90.00
loop_
_atom_site_label
_atom_site_type_symbol
_atom_site_fract_x
_atom_site_fract_y
_atom_site_fract_z
Nd1 Nd 0.000 0.000 0.000
Nd2 Nd 0.000 0.500 0.500
Tc1 Tc 0.500 0.500 0.500
```

Computed powder diffraction line list
Compound: NdTh2Tc9
Radiation: copper Kα
Structure: a DFT-relaxed cell (GGA-PBE, Alexandria)
Neutral-atom scattering factors, no anomalous dispersion.

Most intense lines, 2θ = 15–90°, in order of rising 2θ:
2θ = 32.4°, rel. 64, hkl 3 1 -1; 2θ = 37.3°, rel. 76, hkl 3 1 1; 2θ = 38.7°, rel. 100, hkl 2 2 -1; 2θ = 39.4°, rel. 64, hkl 0 2 2; 2θ = 39.9°, rel. 64, hkl 3 1 -3; 2θ = 41.4°, rel. 47, hkl 0 0 4

Structural model:
```
data_NdTh2Tc9
_symmetry_space_group_name_H-M 'C 1 2/m 1'
_symmetry_Int_Tables_number 12
_symmetry_space_group_name_Hall '-C 2y'
_cell_length_a 9.687
_cell_length_b 5.368
_cell_length_c 9.088
_cell_angle_alpha 90.00
_cell_angle_beta 105.95
_cell_angle_gamma 90.00
loop_
_atom_site_label
_atom_site_type_symbol
_atom_site_fract_x
_atom_site_fract_y
_atom_site_fract_z
Nd1 Nd 0.000 0.000 0.000
Th1 Th 0.144 0.000 0.425
Tc1 Tc 0.000 0.500 0.500
Tc2 Tc 0.080 0.500 0.256
Tc3 Tc 0.145 0.500 0.986
Tc4 Tc 0.169 0.228 0.762
```

Computed powder diffraction line list
Compound: Nd4Te7
Radiation: copper Kα
Structure: a DFT-relaxed cell (GGA-PBE, Alexandria)
Neutral-atom scattering factors, no anomalous dispersion.

Most intense lines, 2θ = 15–90°, in order of rising 2θ:
2θ = 29.2°, rel. 85, hkl 1 1 2; 2θ = 34.3°, rel. 100, hkl 1 1 4; 2θ = 36.4°, rel. 45, hkl 1 0 6; 2θ = 39.0°, rel. 62, hkl 2 0 0; 2θ = 54.4°, rel. 28, hkl 2 1 6; 2θ = 67.6°, rel. 27, hkl 3 1 4

Structural model:
```
data_Nd4Te7
_symmetry_space_group_name_H-M 'P 4 m m'
_symmetry_Int_Tables_number 99
_symmetry_space_group_name_Hall 'P 4 -2'
_cell_length_a 4.617
_cell_length_b 4.617
_cell_length_c 17.498
_cell_angle_alpha 90.00
_cell_angle_beta 90.00
_cell_angle_gamma 90.00
loop_
_atom_site_label
_atom_site_type_symbol
_atom_site_fract_x
_atom_site_fract_y
_atom_site_fract_z
Nd1 Nd 0.000 0.000 0.000
Nd2 Nd 0.000 0.000 0.493
Nd3 Nd 0.500 0.500 0.234
Nd4 Nd 0.500 0.500 0.731
Te1 Te 0.000 0.000 0.187
Te2 Te 0.000 0.000 0.671
Te3 Te 0.000 0.500 0.373
Te4 Te 0.000 0.500 0.861
Te5 Te 0.500 0.500 0.048
```

Computed powder diffraction line list
Compound: Nd3Te4
Radiation: copper Kα
Structure: a DFT-relaxed cell (GGA-PBE, Alexandria)
Neutral-atom scattering factors, no anomalous dispersion.

Most intense lines, 2θ = 15–90°, in order of rising 2θ:
2θ = 29.6°, rel. 100, hkl 3 1 0; 2θ = 35.2°, rel. 70, hkl 3 2 1; 2θ = 42.4°, rel. 16, hkl 4 2 0; 2θ = 48.6°, rel. 18, hkl 4 3 1; 2θ = 59.7°, rel. 28, hkl 6 1 1; 2θ = 72.8°, rel. 16, hkl 5 5 2

Structural model:
```
data_Nd3Te4
_symmetry_space_group_name_H-M 'I -4 3 d'
_symmetry_Int_Tables_number 220
_symmetry_space_group_name_Hall 'I -4bd 2c 3'
_cell_length_a 9.543
_cell_length_b 9.543
_cell_length_c 9.543
_cell_angle_alpha 90.00
_cell_angle_beta 90.00
_cell_angle_gamma 90.00
loop_
_atom_site_label
_atom_site_type_symbol
_atom_site_fract_x
_atom_site_fract_y
_atom_site_fract_z
Nd1 Nd 0.000 0.250 0.875
Te1 Te 0.075 0.425 0.575
```

Computed powder diffraction line list
Compound: Nd5Te7
Radiation: copper Kα
Structure: a DFT-relaxed cell (GGA-PBE, Alexandria)
Neutral-atom scattering factors, no anomalous dispersion.

Most intense lines, 2θ = 15–90°, in order of rising 2θ:
2θ = 26.4°, rel. 60, hkl 2 0 3; 2θ = 27.4°, rel. 86, hkl 3 1 -1; 2θ = 28.8°, rel. 100, hkl 3 1 -2; 2θ = 29.7°, rel. 77, hkl 3 1 1; 2θ = 36.1°, rel. 52, hkl 1 1 4; 2θ = 41.3°, rel. 68, hkl 0 2 0

Structural model:
```
data_Nd5Te7
_symmetry_space_group_name_H-M 'C 1 2/m 1'
_symmetry_Int_Tables_number 12
_symmetry_space_group_name_Hall '-C 2y'
_cell_length_a 14.759
_cell_length_b 4.369
_cell_length_c 13.520
_cell_angle_alpha 90.00
_cell_angle_beta 104.37
_cell_angle_gamma 90.00
loop_
_atom_site_label
_atom_site_type_symbol
_atom_site_fract_x
_atom_site_fract_y
_atom_site_fract_z
Nd1 Nd 0.000 0.000 0.000
Nd2 Nd 0.115 0.000 0.423
Nd3 Nd 0.200 0.500 0.812
Te1 Te 0.000 0.500 0.500
Te2 Te 0.038 0.000 0.783
Te3 Te 0.161 0.500 0.048
Te4 Te 0.242 0.500 0.349
```